Entry 1:
Structure and theoretical powder XRD pattern of CaHoSi2 (DFT lattice parameters and positions (PBE); a wavelength of 1.5418 Å).
Neutral-atom scattering factors, no anomalous dispersion.

Largest 10 diffraction maxima, in order of rising 2θ, 10° ≤ 2θ ≤ 90°:
- 15.41 deg, I 38, hkl 0 1 0
- 18.94 deg, I 60, hkl 0 1 1
- 21.98 deg, I 40, hkl 0 0 2
- 30.14 deg, I 100, hkl 1 1 1
- 32.19 deg, I 88, hkl 1 0 2
- 33.07 deg, I 83, hkl 0 2 1
- 35.87 deg, I 59, hkl 1 1 2
- 36.82 deg, I 53, hkl 0 1 3
- 40.81 deg, I 72, hkl 1 2 1
- 59.10 deg, I 37, hkl 2 2 1

```
data_CaHoSi2
_chemical_formula_sum 'Ca2 Ho2 Si4'
_symmetry_space_group_name_H-M 'P m c 21'
_symmetry_Int_Tables_number 26
_cell_length_a 3.8288
_cell_length_b 5.7495
_cell_length_c 8.0893
_cell_angle_alpha 90.00
_cell_angle_beta 90.00
_cell_angle_gamma 90.00
loop_
_symmetry_equiv_pos_as_xyz
'x,y,z'
'-x,-y,z+1/2'
'-x,y,z'
'x,-y,z+1/2'
loop_
_atom_site_label
_atom_site_fract_x
_atom_site_fract_y
_atom_site_fract_z
_atom_site_occupancy
Ca1 0.0000 0.1372 0.0000 1
Ho1 0.5000 0.3602 0.3584 1
Si1 0.0000 0.3828 0.6413 1
Si2 0.5000 0.1354 0.7135 1
```

***

Entry 2:
Structure and theoretical powder XRD pattern of CaSm12Ho2 (DFT lattice parameters and positions (PBE); a wavelength of 1.5418 Å).
Neutral-atom scattering factors, no anomalous dispersion.

Largest 10 diffraction maxima, in order of rising 2θ, 10° ≤ 2θ ≤ 90°:
- 29.20 deg, I 64, hkl 0 2 7
- 30.32 deg, I 100, hkl 2 2 2
- 31.05 deg, I 81, hkl 0 4 0
- 31.36 deg, I 28, hkl 2 2 3
- 32.34 deg, I 41, hkl 0 2 8
- 32.77 deg, I 50, hkl 2 2 4
- 35.58 deg, I 25, hkl 0 2 9
- 36.52 deg, I 29, hkl 2 2 6
- 47.07 deg, I 28, hkl 2 0 11
- 57.47 deg, I 30, hkl 2 4 11

```
data_CaSm12Ho2
_chemical_formula_sum 'Ca4 Sm48 Ho8'
_symmetry_space_group_name_H-M 'C m m e'
_symmetry_Int_Tables_number 67
_symmetry_space_group_name_Hall '-C 2a 2'
_cell_length_a 7.1322
_cell_length_b 11.5217
_cell_length_c 25.2571
_cell_angle_alpha 90.00
_cell_angle_beta 90.00
_cell_angle_gamma 90.00
loop_
_atom_site_label
_atom_site_fract_x
_atom_site_fract_y
_atom_site_fract_z
_atom_site_occupancy
Ca1 0.0000 0.2500 0.0002 1
Sm1 0.0000 0.9995 0.0834 1
Sm2 0.0000 0.0229 0.4408 1
Sm3 0.2324 0.2500 0.5843 1
Sm4 0.2491 0.2500 0.1389 1
Sm5 0.2500 0.0000 0.2039 1
Sm6 0.2500 0.0000 0.3282 1
Ho1 0.0000 0.2500 0.2737 1
Ho2 0.0000 0.2500 0.7298 1
```

***

Entry 3:
Structure and theoretical powder XRD pattern of Ca2Sm2Ho (DFT lattice parameters and positions (PBE); a wavelength of 1.5418 Å).
Neutral-atom scattering factors, no anomalous dispersion.

Largest 10 diffraction maxima, in order of rising 2θ, 10° ≤ 2θ ≤ 90°:
- 10.09 deg, I 77, hkl 0 0 2
- 24.65 deg, I 37, hkl 1 0 3
- 27.46 deg, I 54, hkl 1 1 0
- 29.32 deg, I 94, hkl 1 1 2
- 32.11 deg, I 100, hkl 1 0 5
- 39.23 deg, I 44, hkl 2 0 0
- 41.04 deg, I 38, hkl 1 0 7
- 51.56 deg, I 53, hkl 2 1 5
- 58.07 deg, I 28, hkl 2 1 7
- 65.09 deg, I 19, hkl 3 1 2

```
data_Ca2Sm2Ho
_chemical_formula_sum 'Ca4 Sm4 Ho2'
_symmetry_space_group_name_H-M 'I 4/m m m'
_symmetry_Int_Tables_number 139
_symmetry_space_group_name_Hall '-I 4 2'
_cell_length_a 4.5931
_cell_length_b 4.5931
_cell_length_c 17.5370
_cell_angle_alpha 90.00
_cell_angle_beta 90.00
_cell_angle_gamma 90.00
loop_
_atom_site_label
_atom_site_fract_x
_atom_site_fract_y
_atom_site_fract_z
_atom_site_occupancy
Ca1 0.0000 0.5000 0.2500 1
Sm1 0.0000 0.0000 0.0884 1
Ho1 0.0000 0.0000 0.5000 1
```

***

Entry 4:
Structure and theoretical powder XRD pattern of Ca2Sm5Ho4 (DFT lattice parameters and positions (PBE); a wavelength of 1.5418 Å).
Neutral-atom scattering factors, no anomalous dispersion.

Largest 10 diffraction maxima, in order of rising 2θ, 10° ≤ 2θ ≤ 90°:
- 11.98 deg, I 17, hkl 0 0 1
- 30.16 deg, I 100, hkl 1 2 -2
- 30.24 deg, I 100, hkl 0 2 1
- 34.78 deg, I 34, hkl 1 0 -3
- 35.07 deg, I 36, hkl 1 -3 1
- 35.19 deg, I 33, hkl 2 1 0
- 50.28 deg, I 24, hkl -2 3 2
- 50.52 deg, I 24, hkl 1 4 -1
- 59.99 deg, I 21, hkl 1 -5 0
- 60.11 deg, I 21, hkl 2 3 1

```
data_Ca2Sm5Ho4
_chemical_formula_sum 'Ca2 Sm5 Ho4'
_symmetry_space_group_name_H-M 'P -1'
_symmetry_Int_Tables_number 2
_cell_length_a 6.2547
_cell_length_b 8.0867
_cell_length_c 8.1613
_cell_angle_alpha 107.48
_cell_angle_beta 105.02
_cell_angle_gamma 97.51
loop_
_symmetry_equiv_pos_as_xyz
'x,y,z'
'-x,-y,-z'
loop_
_atom_site_label
_atom_site_fract_x
_atom_site_fract_y
_atom_site_fract_z
_atom_site_occupancy
Ca1 0.1320 0.2300 0.0449 1
Sm1 0.3239 0.8605 0.7631 1
Sm2 0.4172 0.6869 0.1436 1
Sm3 0.5000 0.5000 0.5000 1
Ho1 0.0492 0.4056 0.6702 1
Ho2 0.2325 0.0442 0.4215 1
```

***

Entry 5:
Structure and theoretical powder XRD pattern of CaSm2Ho6 (DFT lattice parameters and positions (PBE); a wavelength of 1.5418 Å).
Neutral-atom scattering factors, no anomalous dispersion.

Largest 10 diffraction maxima, in order of rising 2θ, 10° ≤ 2θ ≤ 90°:
- 28.31 deg, I 29, hkl 1 2 1
- 31.33 deg, I 29, hkl 2 -2 0
- 32.44 deg, I 100, hkl -1 1 3
- 32.48 deg, I 20, hkl 0 3 -2
- 42.72 deg, I 16, hkl -1 4 1
- 50.15 deg, I 16, hkl 2 4 -1
- 56.50 deg, I 16, hkl 2 -5 2
- 60.23 deg, I 9, hkl 3 0 -5
- 60.35 deg, I 18, hkl 4 2 -1
- 61.05 deg, I 10, hkl 1 5 2

```
data_CaSm2Ho6
_chemical_formula_sum 'Ca2 Sm4 Ho12'
_symmetry_space_group_name_H-M 'P -1'
_symmetry_Int_Tables_number 2
_cell_length_a 6.7732
_cell_length_b 9.2389
_cell_length_c 9.6427
_cell_angle_alpha 98.48
_cell_angle_beta 95.93
_cell_angle_gamma 95.65
loop_
_symmetry_equiv_pos_as_xyz
'x,y,z'
'-x,-y,-z'
loop_
_atom_site_label
_atom_site_fract_x
_atom_site_fract_y
_atom_site_fract_z
_atom_site_occupancy
Ca1 0.1292 0.3786 0.2764 1
Sm1 0.2106 0.9544 0.7253 1
Sm2 0.4681 0.7127 0.2784 1
Ho1 0.0214 0.2637 0.6156 1
Ho2 0.0955 0.8463 0.0611 1
Ho3 0.2472 0.4916 0.9431 1
Ho4 0.3160 0.0613 0.3898 1
Ho5 0.3512 0.6026 0.6125 1
Ho6 0.4305 0.1748 0.0529 1
```

***

Entry 6:
Structure and theoretical powder XRD pattern of CaSm7Ho3 (DFT lattice parameters and positions (PBE); a wavelength of 1.5418 Å).
Neutral-atom scattering factors, no anomalous dispersion.

Largest 10 diffraction maxima, in order of rising 2θ, 10° ≤ 2θ ≤ 90°:
- 17.53 deg, I 13, hkl 1 0 1
- 30.54 deg, I 100, hkl 0 2 1
- 30.83 deg, I 32, hkl 0 0 3
- 35.49 deg, I 67, hkl 2 0 2
- 50.87 deg, I 24, hkl 2 2 0
- 51.26 deg, I 23, hkl 0 2 4
- 60.51 deg, I 14, hkl 4 0 1
- 60.68 deg, I 28, hkl 2 2 3
- 61.03 deg, I 14, hkl 2 0 5
- 63.56 deg, I 12, hkl 0 4 2

```
data_CaSm7Ho3
_chemical_formula_sum 'Ca1 Sm7 Ho3'
_symmetry_space_group_name_H-M 'P 3 m 1'
_symmetry_Int_Tables_number 156
_cell_length_a 7.1794
_cell_length_b 7.1794
_cell_length_c 8.6996
_cell_angle_alpha 90.00
_cell_angle_beta 90.00
_cell_angle_gamma 120.00
loop_
_symmetry_equiv_pos_as_xyz
'x,y,z'
'-y,x-y,z'
'-x+y,-x,z'
'-y,-x,z'
'-x+y,y,z'
'x,x-y,z'
loop_
_atom_site_label
_atom_site_fract_x
_atom_site_fract_y
_atom_site_fract_z
_atom_site_occupancy
Ca1 0.0000 0.0000 0.0000 1
Sm1 0.0043 0.5021 0.0068 1
Sm2 0.3333 0.6667 0.6780 1
Sm3 0.3373 0.1686 0.6621 1
Ho1 0.1692 0.3385 0.3424 1
```